(1)
Diffraction record for Mo7W5. The powder X-ray diffraction pattern is computed, not measured: it uses a crystal structure in Alexandria, relaxed with GGA-PBE and CuKα.
Lines closer than 0.1° are merged.

Top 10 peaks for 5 to 70 degrees two-theta, most intense first:
2θ (°)	I (rel.)
40.24	100
40.02	20
58.11	14
58.26	7
11.41	4
16.17	2
22.83	2
19.83	2
28.10	2
25.59	1

Atomic structure:
abc: 5.4818 4.5054 7.7558
angles: 90.00 90.06 90.00
Positions (direct):
Mo 0.0000 0.0000 0.0000
Mo 0.1672 0.0000 0.3330
Mo 0.1666 0.5000 0.8335
Mo 0.3332 0.5000 0.1665
Mo 0.6668 0.5000 0.8335
Mo 0.8328 0.0000 0.6670
Mo 0.8334 0.5000 0.1665
W 0.0000 0.5000 0.5000
W 0.3325 0.0000 0.6668
W 0.5000 0.0000 0.0000
W 0.5000 0.5000 0.5000
W 0.6675 0.0000 0.3332

=====

(2)
Diffraction record for Mo4W5. The powder X-ray diffraction pattern is computed, not measured: it uses a crystal structure in Alexandria, relaxed with GGA-PBE and CuKα.
Lines closer than 0.1° are merged.

Top 10 peaks for 5 to 70 degrees two-theta, most intense first:
2θ (°)	I (rel.)
40.16	100
58.13	11
13.15	8
58.02	6
35.23	3
48.75	2
26.48	2
29.65	1
59.83	1
42.46	1

Atomic structure:
abc: 6.9179 6.9179 6.9179
angles: 93.03 93.03 153.43
Positions (direct):
Mo 0.0000 0.3335 0.3335
Mo 0.0000 0.6665 0.6665
Mo 0.3335 0.0000 0.3335
Mo 0.6665 0.0000 0.6665
W 0.0000 0.0000 0.0000
W 0.3333 0.3333 0.6665
W 0.3333 0.6667 0.0000
W 0.6667 0.3333 0.0000
W 0.6667 0.6667 0.3335

=====

(3)
Diffraction record for Mo5W11. The powder X-ray diffraction pattern is computed, not measured: it uses a crystal structure in Alexandria, relaxed with GGA-PBE and CuKα.
Lines closer than 0.1° are merged.

Top 10 peaks for 5 to 70 degrees two-theta, most intense first:
2θ (°)	I (rel.)
40.11	100
58.02	17
19.75	3
13.93	2
34.55	2
31.46	2
53.96	1
42.66	1
45.09	1
59.99	1

Atomic structure:
abc: 6.3586 6.3577 6.3588
angles: 90.00 90.01 90.00
Positions (direct):
Mo 0.0000 0.0000 0.0000
Mo 0.0000 0.5000 0.5003
Mo 0.5004 0.0000 0.9999
Mo 0.7502 0.2499 0.7502
Mo 0.7502 0.7501 0.7502
W 0.9998 0.0000 0.5005
W 0.9998 0.5000 0.9998
W 0.2499 0.2498 0.2499
W 0.2499 0.2498 0.7502
W 0.2499 0.7502 0.2499
W 0.2499 0.7502 0.7502
W 0.5004 0.0000 0.5004
W 0.5004 0.5000 0.9999
W 0.5005 0.5000 0.5004
W 0.7502 0.2498 0.2499
W 0.7502 0.7502 0.2499

=====

(4)
Diffraction record for Mo2W13. The powder X-ray diffraction pattern is computed, not measured: it uses a crystal structure in Alexandria, relaxed with GGA-PBE and CuKα.
Lines closer than 0.1° are merged.

Top 10 peaks for 5 to 70 degrees two-theta, most intense first:
2θ (°)	I (rel.)
39.83	100
39.48	72
42.38	56
41.00	45
38.36	43
43.02	38
41.65	36
38.68	34
39.07	34
39.59	30

Atomic structure:
abc: 5.2932 7.0909 7.1849
angles: 73.80 74.97 81.38
Positions (direct):
Mo 0.0619 0.3295 0.1816
Mo 0.9381 0.6705 0.8184
W 0.0000 0.0000 0.5000
W 0.1340 0.6452 0.4060
W 0.1434 0.0501 0.8149
W 0.3213 0.6646 0.0060
W 0.3332 0.4117 0.7316
W 0.3611 0.9905 0.1782
W 0.4760 0.2237 0.4199
W 0.5240 0.7763 0.5801
W 0.6389 0.0095 0.8218
W 0.6668 0.5883 0.2684
W 0.6787 0.3354 0.9940
W 0.8566 0.9499 0.1851
W 0.8660 0.3548 0.5940

=====

(5)
Diffraction record for Mo2W. The powder X-ray diffraction pattern is computed, not measured: it uses a crystal structure in Alexandria, relaxed with GGA-PBE and CuKα.
Lines closer than 0.1° are merged.

Top 10 peaks for 5 to 70 degrees two-theta, most intense first:
2θ (°)	I (rel.)
40.19	100
40.29	20
13.16	13
58.23	13
58.04	7
35.27	6
48.81	4
26.50	3
42.56	2
69.97	1

Atomic structure:
abc: 7.0905 6.9130 2.7452
angles: 82.35 75.08 22.56
Positions (direct):
Mo 0.1668 0.1668 0.8332
Mo 0.8332 0.8332 0.1668
W 0.5000 0.5000 0.5000

=====

(6)
Diffraction record for Mo3W. The powder X-ray diffraction pattern is computed, not measured: it uses a crystal structure in Alexandria, relaxed with GGA-PBE and CuKα.
Lines closer than 0.1° are merged.

Top 8 peaks for 5 to 70 degrees two-theta, most intense first:
2θ (°)	I (rel.)
40.24	100
58.22	17
19.82	9
34.66	5
54.15	3
45.23	2
62.14	1
69.54	1

Atomic structure:
abc: 5.2539 5.2539 5.2539
angles: 117.03 117.03 117.03
Positions (direct):
Mo 0.0000 0.5000 0.5000
Mo 0.5000 0.0000 0.5000
Mo 0.5000 0.5000 0.0000
W 0.0000 0.0000 0.0000